(1)
Simulated powder X-ray diffraction pattern
Compound: Tb2NdDy3Sb6
Radiation: Cu Kα
Structure: the GGA-PBE geometry in Alexandria
Intensities are scaled so that the largest is 100.

Main lines, in order of rising 2θ (10 to 90 degrees two-theta):
- d = 3.121 Å, 28.6 deg, rel. 100
- d = 2.207 Å, 40.9 deg, rel. 76
- d = 1.802 Å, 50.7 deg, rel. 27
- d = 1.561 Å, 59.2 deg, rel. 13
- d = 1.396 Å, 67.1 deg, rel. 35
- d = 1.274 Å, 74.5 deg, rel. 26

```
Tb2NdDy3Sb6
1.0
9.617 -2.207 0.000
9.617 2.207 0.000
-2.018 0.000 8.593
Tb Nd Dy Sb
2 1 3 6
direct
0.167 0.167 0.333 Tb
0.833 0.833 0.667 Tb
0.500 0.500 0.000 Nd
0.166 0.166 0.832 Dy
0.500 0.500 0.500 Dy
0.834 0.834 0.168 Dy
0.000 0.000 0.256 Sb
0.000 0.000 0.744 Sb
0.331 0.331 0.917 Sb
0.334 0.334 0.417 Sb
0.666 0.666 0.583 Sb
0.669 0.669 0.083 Sb
```

(2)
Simulated powder X-ray diffraction pattern
Compound: PuMnZn
Radiation: Cu Kα
Structure: the GGA-PBE geometry in Alexandria
Intensities are scaled so that the largest is 100.

Main lines, in order of rising 2θ (10 to 90 degrees two-theta):
- d = 4.495 Å, 19.8 deg, rel. 35
- d = 2.652 Å, 33.8 deg, rel. 100
- d = 2.310 Å, 39.0 deg, rel. 83
- d = 2.259 Å, 39.9 deg, rel. 36
- d = 2.162 Å, 41.8 deg, rel. 63
- d = 1.456 Å, 63.9 deg, rel. 39

```
PuMnZn
1.0
-2.465 2.783 3.812
2.465 -2.783 3.812
2.465 2.783 -3.812
Pu Mn Zn
2 2 2
direct
0.384 0.134 0.250 Pu
0.616 0.866 0.750 Pu
0.000 0.500 0.500 Mn
0.500 0.500 0.000 Mn
0.000 0.000 0.500 Zn
0.000 0.500 0.000 Zn
```

(3)
Simulated powder X-ray diffraction pattern
Compound: RbHoHgTe3
Radiation: Cu Kα
Structure: the GGA-PBE geometry in Alexandria
Intensities are scaled so that the largest is 100.

Main lines, in order of rising 2θ (10 to 90 degrees two-theta):
- d = 8.362 Å, 10.6 deg, rel. 100
- d = 3.292 Å, 27.1 deg, rel. 41
- d = 3.213 Å, 27.8 deg, rel. 47
- d = 2.937 Å, 30.4 deg, rel. 26
- d = 2.849 Å, 31.4 deg, rel. 28
- d = 2.300 Å, 39.2 deg, rel. 33

```
RbHoHgTe3
1.0
9.665 0.000 0.000
0.000 4.523 0.000
-3.633 0.000 10.407
Rb Ho Hg Te
2 2 2 6
direct
0.222 0.250 0.255 Rb
0.778 0.750 0.745 Rb
0.327 0.750 0.863 Ho
0.673 0.250 0.137 Ho
0.085 0.250 0.614 Hg
0.915 0.750 0.386 Hg
0.106 0.250 0.874 Te
0.239 0.750 0.552 Te
0.464 0.750 0.154 Te
0.536 0.250 0.846 Te
0.761 0.250 0.448 Te
0.894 0.750 0.126 Te
```